# 1
For AgPbO2, a PBE-relaxed structure gives the calculated powder XRD pattern in this record (Cu Kα (weighted mean of Kα1 and Kα2)).
Peak positions follow from Bragg's law for the DFT cell and can differ from measured ones.

Atomic structure:
a = 13.0395 Å, b = 3.5605 Å, c = 6.5006 Å
α = 90.00°, β = 98.41°, γ = 90.00°
Sites, in units of the cell vectors:
Ag (0.2503, 0.0000, 0.1953)
Ag (0.2497, 0.5000, 0.8047)
Ag (0.7497, 0.0000, 0.8047)
Ag (0.7503, 0.5000, 0.1953)
Pb (0.0000, 0.0000, 0.5000)
Pb (0.0000, 0.5000, 0.0000)
Pb (0.5000, 0.0000, 0.0000)
Pb (0.5000, 0.5000, 0.5000)
O (0.0876, 0.0000, 0.1704)
O (0.0876, 0.5000, 0.7379)
O (0.4124, 0.0000, 0.2621)
O (0.4124, 0.5000, 0.8296)
O (0.5876, 0.0000, 0.7379)
O (0.5876, 0.5000, 0.1704)
O (0.9124, 0.0000, 0.8296)
O (0.9124, 0.5000, 0.2621)

Largest 10 diffraction maxima, by angle, 15° ≤ 2θ ≤ 90°:
d = 3.224 Å, 2θ 27.67, rel. 57; d = 3.062 Å, 2θ 29.16, rel. 46; d = 2.980 Å, 2θ 29.98, rel. 100; d = 2.723 Å, 2θ 32.89, rel. 28; d = 2.612 Å, 2θ 34.33, rel. 54; d = 1.921 Å, 2θ 47.31, rel. 45; d = 1.851 Å, 2θ 49.23, rel. 20; d = 1.780 Å, 2θ 51.32, rel. 13; d = 1.638 Å, 2θ 56.17, rel. 19; d = 1.558 Å, 2θ 59.30, rel. 14



# 2
For Tb3Cu4Ge4, a PBE-relaxed structure gives the calculated powder XRD pattern in this record (Cu Kα (weighted mean of Kα1 and Kα2)).
Peak positions follow from Bragg's law for the DFT cell and can differ from measured ones.

Atomic structure:
a = 8.0281 Å, b = 8.0281 Å, c = 8.0281 Å
α = 149.56°, β = 130.88°, γ = 58.89°
Sites, in units of the cell vectors:
Tb (0.0000, 0.0000, 0.0000)
Tb (0.3695, 0.8695, 0.5000)
Tb (0.6305, 0.1305, 0.5000)
Cu (0.0206, 0.3315, 0.6890)
Cu (0.3575, 0.6685, 0.6890)
Cu (0.6425, 0.3315, 0.3110)
Cu (0.9794, 0.6685, 0.3110)
Ge (0.2168, 0.2168, 0.0000)
Ge (0.3089, 0.5000, 0.8089)
Ge (0.6911, 0.5000, 0.1911)
Ge (0.7832, 0.7832, 0.0000)

Largest 10 diffraction maxima, by angle, 15° ≤ 2θ ≤ 90°:
d = 2.579 Å, 2θ 34.78, rel. 27; d = 2.571 Å, 2θ 34.89, rel. 90; d = 2.495 Å, 2θ 35.99, rel. 100; d = 2.330 Å, 2θ 38.64, rel. 20; d = 2.107 Å, 2θ 42.92, rel. 37; d = 2.008 Å, 2θ 45.16, rel. 28; d = 1.911 Å, 2θ 47.58, rel. 15; d = 1.632 Å, 2θ 56.38, rel. 13; d = 1.454 Å, 2θ 64.06, rel. 19; d = 1.196 Å, 2θ 80.29, rel. 15



# 3
For Ba2LiN, a PBE-relaxed structure gives the calculated powder XRD pattern in this record (Cu Kα (weighted mean of Kα1 and Kα2)).
Peak positions follow from Bragg's law for the DFT cell and can differ from measured ones.

Atomic structure:
a = 8.2686 Å, b = 8.2686 Å, c = 15.5017 Å
α = 90.00°, β = 90.00°, γ = 90.00°
Sites, in units of the cell vectors:
Ba (0.0226, 0.7500, 0.1601)
Ba (0.0304, 0.2500, 0.1446)
Ba (0.2500, 0.0304, 0.6446)
Ba (0.2500, 0.4696, 0.6446)
Ba (0.2500, 0.5226, 0.3399)
Ba (0.2500, 0.9774, 0.3399)
Ba (0.4696, 0.2500, 0.1446)
Ba (0.4774, 0.7500, 0.1601)
Ba (0.5226, 0.2500, 0.8399)
Ba (0.5304, 0.7500, 0.8554)
Ba (0.7500, 0.0226, 0.6601)
Ba (0.7500, 0.4774, 0.6601)
Ba (0.7500, 0.5304, 0.3554)
Ba (0.7500, 0.9696, 0.3554)
Ba (0.9696, 0.7500, 0.8554)
Ba (0.9774, 0.2500, 0.8399)
Li (0.0064, 0.7500, 0.4688)
Li (0.2500, 0.5064, 0.0312)
Li (0.2500, 0.9936, 0.0312)
Li (0.4936, 0.7500, 0.4688)
Li (0.5064, 0.2500, 0.5312)
Li (0.7500, 0.0064, 0.9688)
Li (0.7500, 0.4936, 0.9688)
Li (0.9936, 0.2500, 0.5312)
N (0.0068, 0.2500, 0.6612)
N (0.2500, 0.0068, 0.1612)
N (0.2500, 0.4932, 0.1612)
N (0.4932, 0.2500, 0.6612)
N (0.5068, 0.7500, 0.3388)
N (0.7500, 0.5068, 0.8388)
N (0.7500, 0.9932, 0.8388)
N (0.9932, 0.7500, 0.3388)

Largest 10 diffraction maxima, by angle, 15° ≤ 2θ ≤ 90°:
d = 3.995 Å, 2θ 22.25, rel. 56; d = 3.875 Å, 2θ 22.95, rel. 30; d = 3.228 Å, 2θ 27.63, rel. 100; d = 2.923 Å, 2θ 30.58, rel. 50; d = 2.584 Å, 2θ 34.72, rel. 14; d = 2.334 Å, 2θ 38.58, rel. 28; d = 2.067 Å, 2θ 43.79, rel. 16; d = 1.952 Å, 2θ 46.52, rel. 19; d = 1.936 Å, 2θ 46.93, rel. 20; d = 1.741 Å, 2θ 52.57, rel. 27



Repeat the third record exactly.
For Ba2LiN, a PBE-relaxed structure gives the calculated powder XRD pattern in this record (Cu Kα (weighted mean of Kα1 and Kα2)).
Peak positions follow from Bragg's law for the DFT cell and can differ from measured ones.

Atomic structure:
a = 8.2686 Å, b = 8.2686 Å, c = 15.5017 Å
α = 90.00°, β = 90.00°, γ = 90.00°
Sites, in units of the cell vectors:
Ba (0.0226, 0.7500, 0.1601)
Ba (0.0304, 0.2500, 0.1446)
Ba (0.2500, 0.0304, 0.6446)
Ba (0.2500, 0.4696, 0.6446)
Ba (0.2500, 0.5226, 0.3399)
Ba (0.2500, 0.9774, 0.3399)
Ba (0.4696, 0.2500, 0.1446)
Ba (0.4774, 0.7500, 0.1601)
Ba (0.5226, 0.2500, 0.8399)
Ba (0.5304, 0.7500, 0.8554)
Ba (0.7500, 0.0226, 0.6601)
Ba (0.7500, 0.4774, 0.6601)
Ba (0.7500, 0.5304, 0.3554)
Ba (0.7500, 0.9696, 0.3554)
Ba (0.9696, 0.7500, 0.8554)
Ba (0.9774, 0.2500, 0.8399)
Li (0.0064, 0.7500, 0.4688)
Li (0.2500, 0.5064, 0.0312)
Li (0.2500, 0.9936, 0.0312)
Li (0.4936, 0.7500, 0.4688)
Li (0.5064, 0.2500, 0.5312)
Li (0.7500, 0.0064, 0.9688)
Li (0.7500, 0.4936, 0.9688)
Li (0.9936, 0.2500, 0.5312)
N (0.0068, 0.2500, 0.6612)
N (0.2500, 0.0068, 0.1612)
N (0.2500, 0.4932, 0.1612)
N (0.4932, 0.2500, 0.6612)
N (0.5068, 0.7500, 0.3388)
N (0.7500, 0.5068, 0.8388)
N (0.7500, 0.9932, 0.8388)
N (0.9932, 0.7500, 0.3388)

Largest 10 diffraction maxima, by angle, 15° ≤ 2θ ≤ 90°:
d = 3.995 Å, 2θ 22.25, rel. 56; d = 3.875 Å, 2θ 22.95, rel. 30; d = 3.228 Å, 2θ 27.63, rel. 100; d = 2.923 Å, 2θ 30.58, rel. 50; d = 2.584 Å, 2θ 34.72, rel. 14; d = 2.334 Å, 2θ 38.58, rel. 28; d = 2.067 Å, 2θ 43.79, rel. 16; d = 1.952 Å, 2θ 46.52, rel. 19; d = 1.936 Å, 2θ 46.93, rel. 20; d = 1.741 Å, 2θ 52.57, rel. 27